No. 1
The following is a simulated X-ray powder pattern of NpGa7Cu5. It was derived from a structure optimized by DFT (PBE), using Cu Kα X-rays.

Largest 10 diffraction maxima, low angle first, 10 to 90 degrees two-theta:
| d_spacing | two_theta | intensity |
| --- | --- | --- |
| 3.113 | 28.68 | 36 |
| 2.582 | 34.75 | 33 |
| 2.567 | 34.96 | 56 |
| 2.528 | 35.51 | 41 |
| 2.231 | 40.42 | 59 |
| 2.219 | 40.65 | 97 |
| 2.210 | 40.82 | 100 |
| 2.196 | 41.09 | 70 |
| 2.174 | 41.53 | 46 |
| 1.985 | 45.70 | 34 |

Structural model:
```
NpGa7Cu5
1.0
-2.5816 4.4373 4.3487
2.5816 -4.4373 4.3487
2.5816 4.4373 -4.3487
Np Ga Cu
1 7 5
direct
0.0000 0.0000 0.0000
0.2098 0.5103 0.6995
0.3385 0.9943 0.3441
0.3459 0.3459 0.0000
0.6502 0.9943 0.6559
0.6508 0.6508 0.0000
0.7752 0.2752 0.5000
0.8107 0.5103 0.3005
0.0030 0.0058 0.5019
0.0030 0.5011 0.9973
0.2332 0.7332 0.5000
0.5039 0.0058 0.0027
0.5039 0.5011 0.4981
```

***

No. 2
The following is a simulated X-ray powder pattern of NpGa12Cu4. It was derived from a structure optimized by DFT (PBE), using Cu Kα X-rays.

Largest 10 diffraction maxima, low angle first, 10 to 90 degrees two-theta:
| d_spacing | two_theta | intensity |
| --- | --- | --- |
| 6.075 | 14.58 | 17 |
| 3.507 | 25.39 | 11 |
| 3.038 | 29.40 | 20 |
| 2.717 | 32.97 | 100 |
| 2.296 | 39.24 | 63 |
| 1.754 | 52.16 | 38 |
| 1.685 | 54.46 | 39 |
| 1.358 | 69.15 | 10 |
| 1.267 | 74.97 | 16 |
| 1.091 | 89.91 | 11 |

Structural model:
```
NpGa12Cu4
1.0
-4.2957 4.2957 4.2957
4.2957 -4.2957 4.2957
4.2957 4.2957 -4.2957
Np Ga Cu
1 12 4
direct
0.0000 0.0000 0.0000
0.1567 0.3455 0.5023
0.1567 0.6545 0.8112
0.1888 0.8433 0.3455
0.3455 0.1888 0.8433
0.3455 0.5023 0.1567
0.4977 0.8433 0.6545
0.5023 0.1567 0.3455
0.6545 0.4977 0.8433
0.6545 0.8112 0.1567
0.8112 0.1567 0.6545
0.8433 0.3455 0.1888
0.8433 0.6545 0.4977
0.0000 0.0000 0.5000
0.0000 0.5000 0.0000
0.5000 0.0000 0.0000
0.5000 0.5000 0.5000
```

***

No. 3
The following is a simulated X-ray powder pattern of Np4Ga16Cu3. It was derived from a structure optimized by DFT (PBE), using Cu Kα X-rays.

Largest 10 diffraction maxima, low angle first, 10 to 90 degrees two-theta:
| d_spacing | two_theta | intensity |
| --- | --- | --- |
| 4.373 | 20.31 | 36 |
| 2.813 | 31.81 | 41 |
| 2.697 | 33.22 | 48 |
| 2.366 | 38.03 | 100 |
| 2.204 | 40.94 | 21 |
| 2.187 | 41.29 | 66 |
| 1.726 | 53.05 | 18 |
| 1.552 | 59.55 | 27 |
| 1.546 | 59.82 | 21 |
| 1.294 | 73.12 | 26 |

Structural model:
```
Np4Ga16Cu3
1.0
6.1845 0.0000 0.0000
0.0000 6.1845 0.0000
0.0000 0.0000 11.0222
Np Ga Cu
4 16 3
direct
0.0000 0.5000 0.1897
0.0000 0.5000 0.8103
0.5000 0.0000 0.1897
0.5000 0.0000 0.8103
0.0000 0.0000 0.2003
0.0000 0.0000 0.7997
0.2160 0.2160 0.0000
0.2160 0.7840 0.0000
0.2448 0.2448 0.3773
0.2448 0.2448 0.6227
0.2448 0.7552 0.3773
0.2448 0.7552 0.6227
0.5000 0.5000 0.2278
0.5000 0.5000 0.7722
0.7552 0.2448 0.3773
0.7552 0.2448 0.6227
0.7552 0.7552 0.3773
0.7552 0.7552 0.6227
0.7840 0.2160 0.0000
0.7840 0.7840 0.0000
0.0000 0.5000 0.5000
0.5000 0.0000 0.5000
0.5000 0.5000 0.0000
```

***

No. 4
The following is a simulated X-ray powder pattern of NpZn2Ga2Cu2. It was derived from a structure optimized by DFT (PBE), using Cu Kα X-rays.

Largest 10 diffraction maxima, low angle first, 10 to 90 degrees two-theta:
| d_spacing | two_theta | intensity |
| --- | --- | --- |
| 3.575 | 24.91 | 31 |
| 3.457 | 25.77 | 19 |
| 3.080 | 28.99 | 33 |
| 2.866 | 31.21 | 23 |
| 2.460 | 36.53 | 100 |
| 2.280 | 39.53 | 31 |
| 2.088 | 43.32 | 90 |
| 1.631 | 56.43 | 17 |
| 1.592 | 57.92 | 26 |
| 1.266 | 75.02 | 23 |

Structural model:
```
NpZn2Ga2Cu2
1.0
2.0885 1.2058 7.8287
-2.0885 1.2058 7.8287
0.0000 -2.4116 7.8287
Np Zn Ga Cu
1 2 2 2
direct
0.0000 0.0000 0.0000
0.1393 0.1393 0.1393
0.8607 0.8607 0.8607
0.2565 0.2565 0.2565
0.7435 0.7435 0.7435
0.4353 0.4353 0.4353
0.5647 0.5647 0.5647
```

***

No. 5
The following is a simulated X-ray powder pattern of GaCu2P2O6. It was derived from a structure optimized by DFT (PBE), using Cu Kα X-rays.

Largest 10 diffraction maxima, low angle first, 10 to 90 degrees two-theta:
| d_spacing | two_theta | intensity |
| --- | --- | --- |
| 3.506 | 25.41 | 100 |
| 2.531 | 35.46 | 55 |
| 2.430 | 37.00 | 56 |
| 2.269 | 39.73 | 15 |
| 1.997 | 45.42 | 23 |
| 1.888 | 48.20 | 22 |
| 1.594 | 57.84 | 28 |
| 1.543 | 59.96 | 18 |
| 1.422 | 65.68 | 14 |
| 1.403 | 66.67 | 20 |

Structural model:
```
GaCu2P2O6
1.0
4.8594 0.0000 0.0000
-2.4297 4.2084 0.0000
0.0000 0.0000 6.3369
Ga Cu P O
1 2 2 6
direct
0.0000 0.0000 0.0000
0.3333 0.6667 0.6181
0.6667 0.3333 0.3819
0.3333 0.6667 0.2733
0.6667 0.3333 0.7267
0.0418 0.3512 0.1872
0.3094 0.9582 0.1872
0.3512 0.3094 0.8128
0.6488 0.6906 0.1872
0.6906 0.0418 0.8128
0.9582 0.6488 0.8128
```

***

No. 6
The following is a simulated X-ray powder pattern of SrPrGaCuO5. It was derived from a structure optimized by DFT (PBE), using Cu Kα X-rays.

Largest 10 diffraction maxima, low angle first, 10 to 90 degrees two-theta:
| d_spacing | two_theta | intensity |
| --- | --- | --- |
| 8.327 | 10.62 | 37 |
| 2.842 | 31.48 | 100 |
| 2.827 | 31.65 | 96 |
| 2.802 | 31.94 | 55 |
| 2.675 | 33.50 | 58 |
| 2.261 | 39.87 | 23 |
| 2.082 | 43.47 | 24 |
| 1.935 | 46.97 | 54 |
| 1.577 | 58.52 | 18 |
| 1.569 | 58.84 | 17 |

Structural model:
```
SrPrGaCuO5
1.0
8.7277 -2.8017 0.0000
8.7277 2.8017 0.0000
-1.6019 0.0000 5.1049
Sr Pr Ga Cu O
2 2 2 2 10
direct
0.2334 0.7666 0.5000
0.7666 0.2334 0.0000
0.4860 0.9446 0.7091
0.9446 0.4860 0.2091
0.1768 0.5448 0.8241
0.5448 0.1768 0.3241
0.3570 0.8621 0.1074
0.8621 0.3570 0.6074
0.1261 0.1273 0.8752
0.1273 0.1261 0.3752
0.1688 0.7558 0.9827
0.2220 0.4829 0.4593
0.4829 0.2220 0.9593
0.5907 0.9391 0.3145
0.6070 0.6201 0.8558
0.6201 0.6070 0.3558
0.7558 0.1688 0.4827
0.9391 0.5907 0.8145
```

***

No. 7
The following is a simulated X-ray powder pattern of SrPrGaCuO5. It was derived from a structure optimized by DFT (PBE), using Cu Kα X-rays.

Largest 10 diffraction maxima, low angle first, 10 to 90 degrees two-theta:
| d_spacing | two_theta | intensity |
| --- | --- | --- |
| 8.254 | 10.72 | 12 |
| 3.930 | 22.62 | 10 |
| 2.825 | 31.67 | 100 |
| 2.808 | 31.88 | 29 |
| 2.678 | 33.46 | 31 |
| 2.244 | 40.19 | 24 |
| 2.064 | 43.88 | 11 |
| 1.941 | 46.80 | 13 |
| 1.934 | 46.97 | 13 |
| 1.574 | 58.64 | 10 |

Structural model:
```
SrPrGaCuO5
1.0
3.8732 -8.2540 0.0000
3.8732 8.2540 0.0000
-3.6899 0.0000 3.8824
Sr Pr Ga Cu O
2 2 2 2 10
direct
0.1394 0.8606 0.0000
0.8606 0.1394 0.0000
0.3934 0.6892 0.0455
0.6892 0.3934 0.0455
0.0762 0.0762 0.6115
0.4448 0.4448 0.4707
0.2714 0.7717 0.5215
0.7717 0.2714 0.5215
0.0232 0.5132 0.0201
0.0318 0.5162 0.5260
0.0362 0.8400 0.4033
0.1343 0.1343 0.0194
0.3932 0.3932 0.7810
0.4652 0.6657 0.5138
0.5132 0.0232 0.0201
0.5162 0.0318 0.5260
0.6657 0.4652 0.5138
0.8400 0.0362 0.4033
```

***

No. 8
The following is a simulated X-ray powder pattern of GaCuRhO4. It was derived from a structure optimized by DFT (PBE), using Cu Kα X-rays.

Largest 10 diffraction maxima, low angle first, 10 to 90 degrees two-theta:
| d_spacing | two_theta | intensity |
| --- | --- | --- |
| 4.894 | 18.13 | 38 |
| 3.022 | 29.56 | 26 |
| 2.584 | 34.71 | 100 |
| 2.579 | 34.78 | 41 |
| 2.554 | 35.14 | 48 |
| 2.481 | 36.20 | 22 |
| 2.447 | 36.73 | 18 |
| 2.128 | 42.48 | 28 |
| 1.632 | 56.38 | 30 |
| 1.511 | 61.36 | 54 |

Structural model:
```
GaCuRhO4
1.0
-2.9784 3.0410 4.2919
2.9784 -3.0410 4.2919
2.9784 3.0410 -4.2919
Ga Cu Rh O
2 2 2 8
direct
0.5000 0.0000 0.0000
0.5000 0.5000 0.5000
0.1205 0.3705 0.7500
0.8795 0.6295 0.2500
0.0000 0.0000 0.0000
0.5000 0.0000 0.5000
0.2638 0.2445 0.4807
0.2638 0.7831 0.0193
0.2662 0.2389 0.0273
0.2884 0.7611 0.5273
0.7116 0.2389 0.4727
0.7338 0.7611 0.9727
0.7362 0.2169 0.9807
0.7362 0.7555 0.5193
```